LaTm3As4: theoretical powder diffractogram (Cu Kα, 1.54184 Å), based on a PBE-relaxed structure.

Peak list (10 most intense, 2θ from 10° to 90°, in order of rising 2θ)
- 2θ = 26.33°, I 232
- 2θ = 30.49°, I 1000
- 2θ = 43.67°, I 745
- 2θ = 51.71°, I 117
- 2θ = 54.19°, I 262
- 2θ = 63.47°, I 121
- 2θ = 69.94°, I 49
- 2θ = 72.04°, I 333
- 2θ = 80.21°, I 249
- 2θ = 86.17°, I 30

Cell and atoms:
Cell: 8.2926 11.7165 4.1484 Å, 90.00 90.00 90.00°
Fractional positions:
La  0.0000  0.0000  0.0000
La  0.5000  0.5000  0.0000
Tm  0.0000  0.5000  0.0000
Tm  0.2500  0.2500  0.5000
Tm  0.2500  0.7500  0.5000
Tm  0.5000  0.0000  0.0000
Tm  0.7500  0.2500  0.5000
Tm  0.7500  0.7500  0.5000
As  0.0000  0.2556  0.0000
As  0.0000  0.7444  0.0000
As  0.2385  0.5000  0.5000
As  0.2615  0.0000  0.5000
As  0.5000  0.2444  0.0000
As  0.5000  0.7556  0.0000
As  0.7385  0.0000  0.5000
As  0.7615  0.5000  0.5000

Ti7Tl3Sn: theoretical powder diffractogram (Cu Kα, 1.54184 Å), based on a PBE-relaxed structure.

Peak list (10 most intense, 2θ from 10° to 90°, in order of rising 2θ)
- 2θ = 20.29°, I 542
- 2θ = 26.68°, I 908
- 2θ = 34.81°, I 458
- 2θ = 35.39°, I 429
- 2θ = 37.89°, I 175
- 2θ = 39.69°, I 1000
- 2θ = 40.62°, I 193
- 2θ = 50.49°, I 277
- 2θ = 55.00°, I 247
- 2θ = 65.70°, I 223

Cell and atoms:
Cell: 7.1780 7.1780 7.1780 Å, 137.92 104.84 90.09°
Fractional positions:
Ti  0.0000  0.0000  0.0000
Ti  0.0827  0.7545  0.3282
Ti  0.3104  0.5000  0.8104
Ti  0.4263  0.7545  0.6718
Ti  0.5737  0.2455  0.3282
Ti  0.6896  0.5000  0.1896
Ti  0.9173  0.2455  0.6718
Tl  0.2723  0.2723  0.0000
Tl  0.5000  0.0000  0.5000
Tl  0.7277  0.7277  0.0000
Sn  0.0000  0.5000  0.5000